Simulated X-ray diffraction stick pattern of KNbO3 for copper Kα, from a structure optimized by DFT (PBE).

Principal peaks in the range 10° ≤ 2θ ≤ 80°, sorted by position:
2θ (°)	I_rel
21.51	46
22.13	21
30.51	26
30.70	26
31.05	100
43.84	41
45.14	20
54.57	20
54.81	19
64.74	22

Structural model:
```
data_KNbO3
_cell_length_a 4.0176
_cell_length_b 5.8237
_cell_length_c 5.8596
_cell_angle_alpha 90.00
_cell_angle_beta 90.00
_cell_angle_gamma 90.00
_space_group_name_H-M_alt 'A m m 2'
_space_group_IT_number 38
loop_
_space_group_symop_operation_xyz
'x,y,z'
'-x,-y,z'
'-x,y,z'
'x,-y,z'
'x,y+1/2,z+1/2'
'-x,-y+1/2,z+1/2'
'-x,y+1/2,z+1/2'
'x,-y+1/2,z+1/2'
loop_
_atom_site_label
_atom_site_type_symbol
_atom_site_fract_x
_atom_site_fract_y
_atom_site_fract_z
K1 K 0.0000 0.0000 0.0000
Nb1 Nb 0.5000 0.0000 0.5150
O1 O 0.0000 0.0000 0.4739
O2 O 0.5000 0.2452 0.7270
```